Record 1
Ba3In4Hg2: theoretical powder diffraction line list (Cu Kα), based on a DFT-relaxed cell (GGA-PBE, Alexandria).

Structural model:
```
data_Ba3In4Hg2
_chemical_formula_sum 'Ba6 In8 Hg4'
_cell_length_a 12.4129
_cell_length_b 5.2368
_cell_length_c 10.0332
_cell_angle_alpha 90.00
_cell_angle_beta 113.02
_cell_angle_gamma 90.00
_space_group_name_H-M_alt 'C 1 2/m 1'
_space_group_IT_number 12
loop_
_space_group_symop_operation_xyz
'x,y,z'
'-x,-y,-z'
'-x,y,-z'
'x,-y,z'
'x+1/2,y+1/2,z'
'-x+1/2,-y+1/2,-z'
'-x+1/2,y+1/2,-z'
'x+1/2,-y+1/2,z'
loop_
_atom_site_label
_atom_site_fract_x
_atom_site_fract_y
_atom_site_fract_z
Ba1 0.0000 0.0000 0.0000
Ba2 0.1808 0.5000 0.6513
In1 0.0147 0.0000 0.3557
In2 0.2473 0.5000 0.0823
Hg1 0.0935 0.5000 0.2657
```

Peak list (12 most intense, 2θ = 10–80°, by angle)
two_theta	I (rel.)	hkl
21.25	10.0	2 0 1
27.48	14.7	3 1 -1
28.88	22.6	4 0 -1
29.03	100.0	1 1 2
34.05	67.2	3 1 -3
34.25	35.5	0 2 0
43.25	14.9	4 0 2
45.37	19.5	4 2 -1
45.48	10.3	0 2 3
56.30	17.3	1 1 5
58.16	11.6	1 3 2
61.20	12.2	3 3 -3

=====

Record 2
BaIn3Hg: theoretical powder diffraction line list (Cu Kα), based on a DFT-relaxed cell (GGA-PBE, Alexandria).

Structural model:
```
data_BaIn3Hg
_chemical_formula_sum 'Ba4 In12 Hg4'
_cell_length_a 7.0024
_cell_length_b 7.0369
_cell_length_c 12.3715
_cell_angle_alpha 90.00
_cell_angle_beta 90.00
_cell_angle_gamma 90.00
_space_group_name_H-M_alt 'F m m 2'
_space_group_IT_number 42
_space_group_name_Hall 'F 2 -2'
loop_
_atom_site_label
_atom_site_fract_x
_atom_site_fract_y
_atom_site_fract_z
Ba1 0.0000 0.0000 0.0000
In1 0.0000 0.0000 0.3829
In2 0.2500 0.2500 0.2448
Hg1 0.0000 0.0000 0.6113
```

Peak list (12 most intense, 2θ = 10–80°, by angle)
two_theta	I (rel.)	hkl
19.27	28.2	1 1 1
28.13	80.9	1 1 3
29.20	65.7	0 2 2
29.31	65.1	2 0 2
36.19	100.0	2 2 0
38.81	59.9	2 0 4
40.75	54.5	1 1 5
46.38	20.7	1 3 3
46.53	20.5	3 1 3
55.56	21.9	1 3 5
55.69	21.8	3 1 5
71.94	22.9	2 2 8

=====

Record 3
Ba2In6Hg3: theoretical powder diffraction line list (Cu Kα), based on a DFT-relaxed cell (GGA-PBE, Alexandria).

Structural model:
```
data_Ba2In6Hg3
_chemical_formula_sum 'Ba2 In6 Hg3'
_cell_length_a 9.0566
_cell_length_b 9.0566
_cell_length_c 4.7172
_cell_angle_alpha 90.00
_cell_angle_beta 90.00
_cell_angle_gamma 120.00
_space_group_name_H-M_alt 'P -6 2 m'
_space_group_IT_number 189
_space_group_name_Hall 'P -6 -2'
loop_
_atom_site_label
_atom_site_fract_x
_atom_site_fract_y
_atom_site_fract_z
Ba1 0.3333 0.6667 0.0000
In1 0.0000 0.1927 0.0000
In2 0.0000 0.7110 0.5000
Hg1 0.0000 0.3876 0.5000
```

Peak list (12 most intense, 2θ = 10–80°, by angle)
two_theta	I (rel.)	hkl
19.60	29.2	1 1 0
27.30	100.0	1 1 1
29.62	22.5	2 0 1
30.15	23.4	2 1 0
34.30	42.4	3 0 0
35.77	90.2	2 1 1
38.16	35.4	0 0 2
39.40	20.7	3 0 1
41.51	31.3	3 1 0
52.23	25.6	3 0 2
57.26	23.1	4 1 1
57.65	23.8	3 1 2